Simulated XRD peak list of HoCr2O6 for CuKα, from a PBE+U-relaxed structure.
Intensities are scaled so that the largest is 100.

The 6 most intense peaks (10° ≤ 2θ ≤ 90°), in order of rising 2θ:
20.20 deg, d 4.396, rel. 72.0, (1 1 0); 21.12 deg, d 4.207, rel. 100.0, (1 0 1); 26.76 deg, d 3.331, rel. 27.4, (1 1 1); 34.09 deg, d 2.630, rel. 93.3, (2 1 1); 35.15 deg, d 2.553, rel. 26.6, (0 0 2); 62.38 deg, d 1.489, rel. 28.4, (2 1 3)

Structure:
```
HoCr2O6
1.0
7.4230 0.0000 0.0000
0.0000 5.4554 0.0000
0.0000 0.0000 5.1063
Ho Cr O
2 4 12
Cartesian
0.0000 0.8760 0.0000
3.7115 4.5794 2.5531
1.8214 3.9487 5.1052
1.8901 1.5068 2.5520
5.5329 1.5068 2.5520
5.6016 3.9487 5.1052
0.0000 1.5219 2.9512
0.0000 4.1472 4.5615
1.4577 2.4028 0.8586
1.5772 5.2136 1.3618
2.1344 0.2418 3.9150
2.2539 3.0527 3.4118
3.7115 1.3082 2.0084
3.7115 3.9335 0.3980
5.1692 3.0527 3.4118
5.2887 0.2418 3.9150
5.8459 5.2136 1.3618
5.9654 2.4028 0.8586
```